For Li5Pb, a crystal structure in Alexandria, relaxed with PBE gives the calculated powder diffractogram in this record (Cu Kα, 1.54184 Å).
Lines closer than 0.1° are merged.

Most intense lines, 10° ≤ 2θ ≤ 80°, by angle:
two_theta	I (rel.)
12.88	1000
20.28	729
24.14	244
27.44	717
31.73	496
36.85	448

Structural model:
```
6
Lattice="2.3096 -6.8708 0.0000 2.3096 6.8708 0.0000 0.0000 0.0000 3.6867" Properties=species:S:1:pos:R:3 pbc="T T T"
Li 0.0000 0.0000 0.0000
Li 2.3096 4.6563 1.8434
Li 2.3096 2.2669 0.0000
Li 2.3096 -2.2669 0.0000
Li 2.3096 -4.6563 1.8434
Pb 2.3096 0.0000 1.8434
```